Simulated X-ray diffraction stick pattern
Compound: MgCr2Fe3NiP6O24
Radiation: Cu Kα X-rays
Structure: DFT lattice parameters and positions (PBE+U)
Neutral-atom scattering factors, no anomalous dispersion.

Principal peaks in the range 2θ from 5° to 70°, by intensity:
d/Å  intensity  hkl
4.320  100  1 1 0
3.673  98  2 -1 3
2.493  50  3 0 0
2.714  41  2 -1 6
1.921  38  3 -2 8
1.633  27  4 1 0
1.626  20  3 1 8
1.837  17  4 -2 6
2.144  13  2 0 8
2.802  13  3 -1 1

```
data_MgCr2Fe3NiP6O24
_symmetry_space_group_name_H-M 'R 3'
_symmetry_Int_Tables_number 146
_symmetry_space_group_name_Hall 'R 3'
_cell_length_a 8.6394
_cell_length_b 8.6394
_cell_length_c 20.9368
_cell_angle_alpha 90.00
_cell_angle_beta 90.00
_cell_angle_gamma 120.00
loop_
_atom_site_label
_atom_site_type_symbol
_atom_site_fract_x
_atom_site_fract_y
_atom_site_fract_z
Mg1 Mg 0.0000 0.0000 0.0000
Cr1 Cr 0.0000 0.0000 0.2549
Cr2 Cr 0.0000 0.0000 0.7463
Fe1 Fe 0.0000 0.0000 0.3993
Fe2 Fe 0.0000 0.0000 0.6017
Fe3 Fe 0.0000 0.0000 0.8790
Ni1 Ni 0.0000 0.0000 0.1214
P1 P 0.9997 0.6985 0.0009
P2 P 0.0408 0.3709 0.1669
O1 O 0.0016 0.8091 0.0586
O2 O 0.0048 0.8324 0.6763
O3 O 0.0138 0.1822 0.1855
O4 O 0.0337 0.2119 0.5594
O5 O 0.1416 0.6720 0.6090
O6 O 0.1588 0.4799 0.4809
O7 O 0.1616 0.4526 0.1090
O8 O 0.1664 0.6730 0.9920
```

***

Simulated X-ray diffraction stick pattern
Compound: MgCr2Fe2O8
Radiation: Cu Kα X-rays
Structure: DFT lattice parameters and positions (PBE+U)
Neutral-atom scattering factors, no anomalous dispersion.

Principal peaks in the range 2θ from 5° to 70°, by intensity:
d/Å  intensity  hkl
3.863  100  1 1 -1
2.661  87  1 2 0
4.927  70  0 0 1
2.796  61  2 0 -1
2.671  47  0 2 1
1.606  32  1 2 2
1.589  26  0 4 0
1.602  26  1 2 -3
2.591  23  1 1 1
2.583  22  1 1 -2

```
data_MgCr2Fe2O8
_symmetry_space_group_name_H-M 'P 1 m 1'
_symmetry_Int_Tables_number 6
_cell_length_a 5.593
_cell_length_b 6.357
_cell_length_c 5.654
_cell_angle_alpha 90.00
_cell_angle_beta 119.38
_cell_angle_gamma 90.00
loop_
_symmetry_equiv_pos_as_xyz
'x,y,z'
'x,-y,z'
loop_
_atom_site_label
_atom_site_type_symbol
_atom_site_fract_x
_atom_site_fract_y
_atom_site_fract_z
Mg1 Mg 0.000 0.000 0.000
Cr1 Cr 0.270 0.000 0.531
Cr2 Cr 0.451 0.500 0.889
Fe1 Fe 0.761 0.274 0.508
O1 O 0.063 0.000 0.686
O2 O 0.090 0.500 0.688
O3 O 0.157 0.203 0.307
O4 O 0.560 0.286 0.106
O5 O 0.610 0.500 0.686
O6 O 0.630 0.000 0.679
```

***

Simulated X-ray diffraction stick pattern
Compound: MgCr2Fe2O8
Radiation: Cu Kα X-rays
Structure: DFT lattice parameters and positions (PBE+U)
Neutral-atom scattering factors, no anomalous dispersion.

Principal peaks in the range 2θ from 5° to 70°, by intensity:
d/Å  intensity  hkl
2.564  100  1 2 0
2.765  49  1 0 1
3.710  41  0 1 1
2.550  28  1 0 -2
2.542  28  2 0 -1
1.555  26  2 2 1
3.525  26  1 1 -1
4.652  24  0 0 1
1.484  18  3 2 -1
1.488  17  1 2 -3

```
data_MgCr2Fe2O8
_symmetry_space_group_name_H-M 'P 1 m 1'
_symmetry_Int_Tables_number 6
_cell_length_a 5.105
_cell_length_b 6.147
_cell_length_c 5.124
_cell_angle_alpha 90.00
_cell_angle_beta 114.55
_cell_angle_gamma 90.00
loop_
_symmetry_equiv_pos_as_xyz
'x,y,z'
'x,-y,z'
loop_
_atom_site_label
_atom_site_type_symbol
_atom_site_fract_x
_atom_site_fract_y
_atom_site_fract_z
Mg1 Mg 0.000 0.000 0.000
Cr1 Cr 0.671 0.000 0.326
Cr2 Cr 0.975 0.500 0.013
Fe1 Fe 0.334 0.254 0.658
O1 O 0.078 0.000 0.430
O2 O 0.110 0.273 0.880
O3 O 0.116 0.500 0.398
O4 O 0.551 0.226 0.441
O5 O 0.571 0.000 0.924
O6 O 0.583 0.500 0.865
```

***

Simulated X-ray diffraction stick pattern
Compound: MgCr2Fe2O8
Radiation: Cu Kα X-rays
Structure: DFT lattice parameters and positions (PBE+U)
Neutral-atom scattering factors, no anomalous dispersion.

Principal peaks in the range 2θ from 5° to 70°, by intensity:
d/Å  intensity  hkl
2.807  100  0 2 0
1.922  73  2 2 -2
2.596  69  3 1 0
2.498  67  1 1 2
3.397  62  2 0 1
3.638  59  1 1 1
2.633  58  2 0 -2
3.843  58  1 1 -1
1.453  43  4 2 2
2.064  43  0 2 2

```
data_MgCr2Fe2O8
_symmetry_space_group_name_H-M 'C 1 2/m 1'
_symmetry_Int_Tables_number 12
_cell_length_a 8.830
_cell_length_b 5.615
_cell_length_c 6.126
_cell_angle_alpha 90.00
_cell_angle_beta 96.02
_cell_angle_gamma 90.00
loop_
_symmetry_equiv_pos_as_xyz
'x,y,z'
'-x,-y,-z'
'-x,y,-z'
'x,-y,z'
'x+1/2,y+1/2,z'
'-x+1/2,-y+1/2,-z'
'-x+1/2,y+1/2,-z'
'x+1/2,-y+1/2,z'
loop_
_atom_site_label
_atom_site_type_symbol
_atom_site_fract_x
_atom_site_fract_y
_atom_site_fract_z
Mg1 Mg 0.000 0.000 0.000
Cr1 Cr 0.168 0.000 0.683
Fe1 Fe 0.000 0.500 0.000
Fe2 Fe 0.000 0.500 0.500
O1 O 0.023 0.241 0.751
O2 O 0.223 0.500 0.064
O3 O 0.225 0.500 0.534
```

***

Simulated X-ray diffraction stick pattern
Compound: MgCr8Fe3O16
Radiation: Cu Kα X-rays
Structure: DFT lattice parameters and positions (PBE+U)
Neutral-atom scattering factors, no anomalous dispersion.

Principal peaks in the range 2θ from 5° to 70°, by intensity:
d/Å  intensity  hkl
2.579  100  2 1 1
2.569  50  1 0 3
1.509  47  2 2 4
3.020  43  2 0 0
1.647  33  3 2 1
4.932  27  1 0 1
2.140  25  2 2 0
1.513  24  4 0 0
1.639  16  1 0 5
2.128  12  0 0 4

```
data_MgCr8Fe3O16
_symmetry_space_group_name_H-M 'P -4 m 2'
_symmetry_Int_Tables_number 115
_cell_length_a 6.053
_cell_length_b 6.053
_cell_length_c 8.510
_cell_angle_alpha 90.00
_cell_angle_beta 90.00
_cell_angle_gamma 90.00
loop_
_symmetry_equiv_pos_as_xyz
'x,y,z'
'y,-x,-z'
'-x,-y,z'
'-y,x,-z'
'-x,y,z'
'-y,-x,-z'
'x,-y,z'
'y,x,-z'
loop_
_atom_site_label
_atom_site_type_symbol
_atom_site_fract_x
_atom_site_fract_y
_atom_site_fract_z
Mg1 Mg 0.000 0.000 0.000
Cr1 Cr 0.000 0.250 0.625
Cr2 Cr 0.249 0.500 0.875
Fe1 Fe 0.000 0.500 0.250
Fe2 Fe 0.500 0.500 0.500
O1 O 0.000 0.223 0.387
O2 O 0.000 0.273 0.864
O3 O 0.224 0.500 0.638
O4 O 0.277 0.500 0.113
```

***

Simulated X-ray diffraction stick pattern
Compound: Mg3Cr6Fe4O24
Radiation: Cu Kα X-rays
Structure: DFT lattice parameters and positions (PBE+U)
Neutral-atom scattering factors, no anomalous dispersion.

Principal peaks in the range 2θ from 5° to 70°, by intensity:
d/Å  intensity  hkl
3.112  100  0 2 1
3.144  73  0 1 -3
3.273  63  2 0 -1
7.516  52  0 1 0
3.198  46  2 -1 0
3.054  42  1 -2 2
1.662  24  -4 1 1
1.423  21  3 2 -6
6.143  20  1 0 0
3.505  20  0 2 -2

```
data_Mg3Cr6Fe4O24
_symmetry_space_group_name_H-M 'P -1'
_symmetry_Int_Tables_number 2
_cell_length_a 6.693
_cell_length_b 8.151
_cell_length_c 9.829
_cell_angle_alpha 104.81
_cell_angle_beta 105.90
_cell_angle_gamma 102.08
loop_
_symmetry_equiv_pos_as_xyz
'x,y,z'
'-x,-y,-z'
loop_
_atom_site_label
_atom_site_type_symbol
_atom_site_fract_x
_atom_site_fract_y
_atom_site_fract_z
Mg1 Mg 0.000 0.000 0.000
Mg2 Mg 0.278 0.791 0.291
Cr1 Cr 0.102 0.597 0.832
Cr2 Cr 0.222 0.156 0.772
Cr3 Cr 0.398 0.226 0.369
Fe1 Fe 0.045 0.712 0.516
Fe2 Fe 0.379 0.455 0.108
O1 O 0.011 0.217 0.667
O2 O 0.071 0.550 0.643
O3 O 0.125 0.807 0.917
O4 O 0.132 0.531 0.154
O5 O 0.179 0.942 0.684
O6 O 0.216 0.199 0.955
O7 O 0.236 0.282 0.467
O8 O 0.266 0.016 0.242
O9 O 0.331 0.540 0.924
O10 O 0.355 0.762 0.501
O11 O 0.443 0.367 0.274
O12 O 0.473 0.271 0.773
```